No. 1
# MgAs4P4O16
Simulated powder X-ray diffraction pattern, Cu Kα, 1.54184 Å. Input: a PBE-relaxed structure.
No peak broadening, texture or thermal motion is included.

Atomic structure:
```
MgAs4P4O16
1.0
8.5442 0.0000 0.0000
0.0000 5.0171 0.0000
-0.6973 0.0000 8.5340
Mg As P O
1 4 4 16
direct
0.0000 0.0000 0.0000
0.1648 0.0000 0.7497
0.2212 0.5000 0.2256
0.6341 0.0000 0.9277
0.7622 0.5000 0.4279
0.0749 0.0000 0.3384
0.3606 0.5000 0.8931
0.5890 0.0000 0.2552
0.8354 0.5000 0.7796
0.0596 0.2421 0.2047
0.0596 0.7579 0.2047
0.2285 0.5000 0.0154
0.2374 0.0000 0.4143
0.3318 0.2495 0.7910
0.3318 0.7505 0.7910
0.4359 0.0000 0.1567
0.5284 0.5000 0.9684
0.6115 0.2488 0.3645
0.6115 0.7512 0.3645
0.7042 0.5000 0.6365
0.7245 0.0000 0.1323
0.8086 0.2464 0.8850
0.8086 0.7536 0.8850
0.9266 0.0000 0.4217
0.9987 0.5000 0.7295
```

Top 10 peaks for 15° ≤ 2θ ≤ 90°, by angle:
| 2theta | I_rel |
| --- | --- |
| 20.84 | 100 |
| 22.54 | 54 |
| 22.67 | 64 |
| 23.45 | 69 |
| 24.08 | 38 |
| 27.47 | 57 |
| 30.05 | 44 |
| 35.79 | 54 |
| 37.12 | 62 |
| 38.62 | 40 |


No. 2
# MgTiAs2O7
Simulated powder X-ray diffraction pattern, Cu Kα, 1.54184 Å. Input: a PBE-relaxed structure.
No peak broadening, texture or thermal motion is included.

Atomic structure:
```
MgTiAs2O7
1.0
8.3614 0.0000 0.0000
0.0000 8.5664 0.0000
-6.2084 0.0000 8.9517
Mg Ti As O
4 4 8 28
direct
0.1703 0.1173 0.1224
0.1703 0.3827 0.6224
0.8297 0.6173 0.3776
0.8297 0.8827 0.8776
0.3460 0.0274 0.7130
0.3460 0.4726 0.2130
0.6540 0.5274 0.7870
0.6540 0.9726 0.2870
0.0617 0.7264 0.7350
0.0617 0.7736 0.2350
0.4906 0.6962 0.0345
0.4906 0.8038 0.5345
0.5094 0.1962 0.4655
0.5094 0.3038 0.9655
0.9383 0.2264 0.7650
0.9383 0.2736 0.2650
0.0294 0.5886 0.6081
0.0294 0.9114 0.1081
0.1404 0.2327 0.2711
0.1404 0.2673 0.7711
0.1742 0.6124 0.2222
0.1742 0.8876 0.7222
0.2197 0.6531 0.9176
0.2197 0.8469 0.4176
0.2461 0.1746 0.5847
0.2461 0.3254 0.0847
0.4678 0.0794 0.3080
0.4678 0.4206 0.8080
0.4762 0.6171 0.6033
0.4762 0.8829 0.1033
0.5238 0.1171 0.8967
0.5238 0.3829 0.3967
0.5322 0.5794 0.1920
0.5322 0.9206 0.6920
0.7539 0.6746 0.9153
0.7539 0.8254 0.4153
0.7803 0.1531 0.5824
0.7803 0.3469 0.0824
0.8258 0.1124 0.2778
0.8258 0.3876 0.7778
0.8596 0.7327 0.2289
0.8596 0.7673 0.7289
0.9706 0.0886 0.8919
0.9706 0.4114 0.3919
```

Top 10 peaks for 15° ≤ 2θ ≤ 90°, by angle:
| 2theta | I_rel |
| --- | --- |
| 16.35 | 19 |
| 20.74 | 25 |
| 22.81 | 19 |
| 24.23 | 100 |
| 25.94 | 16 |
| 26.52 | 86 |
| 29.37 | 32 |
| 33.26 | 17 |
| 35.97 | 21 |
| 36.23 | 27 |


No. 3
# Mg3Ti3As4O16
Simulated powder X-ray diffraction pattern, Cu Kα, 1.54184 Å. Input: a PBE-relaxed structure.
No peak broadening, texture or thermal motion is included.

Atomic structure:
```
Mg3Ti3As4O16
1.0
8.1402 0.0000 0.0000
0.0000 5.0272 0.0000
-4.3119 0.0000 15.9459
Mg Ti As O
6 6 8 32
direct
0.0000 0.0000 0.0000
0.0000 0.5000 0.5000
0.3610 0.0903 0.2919
0.3610 0.4097 0.7919
0.6390 0.5903 0.2081
0.6390 0.9097 0.7081
0.2280 0.5686 0.3778
0.2280 0.9314 0.8778
0.5000 0.0000 0.5000
0.5000 0.5000 0.0000
0.7720 0.0686 0.1222
0.7720 0.4314 0.6222
0.0589 0.0022 0.6585
0.0589 0.4978 0.1585
0.3949 0.0129 0.1048
0.3949 0.4871 0.6048
0.6051 0.5129 0.3952
0.6051 0.9871 0.8952
0.9411 0.5022 0.8415
0.9411 0.9978 0.3415
0.0047 0.1835 0.8804
0.0047 0.3165 0.3804
0.1229 0.6134 0.8138
0.1229 0.8866 0.3138
0.1291 0.1826 0.5862
0.1291 0.3174 0.0862
0.2102 0.0695 0.7529
0.2102 0.4305 0.2529
0.2121 0.6922 0.4754
0.2121 0.8078 0.9754
0.4081 0.2071 0.9146
0.4081 0.2929 0.4146
0.4281 0.6276 0.7044
0.4281 0.8724 0.2044
0.4445 0.7099 0.8817
0.4445 0.7901 0.3817
0.5555 0.2099 0.6183
0.5555 0.2901 0.1183
0.5719 0.1276 0.7956
0.5719 0.3724 0.2956
0.5919 0.7071 0.5854
0.5919 0.7929 0.0854
0.7879 0.1922 0.0246
0.7879 0.3078 0.5246
0.7898 0.5695 0.7471
0.7898 0.9305 0.2471
0.8709 0.6826 0.9138
0.8709 0.8174 0.4138
0.8771 0.1134 0.6862
0.8771 0.3866 0.1862
0.9953 0.6835 0.6196
0.9953 0.8165 0.1196
```

Top 10 peaks for 15° ≤ 2θ ≤ 90°, by angle:
| 2theta | I_rel |
| --- | --- |
| 20.93 | 29 |
| 22.30 | 48 |
| 24.97 | 63 |
| 28.21 | 100 |
| 28.74 | 56 |
| 32.67 | 25 |
| 33.27 | 47 |
| 35.73 | 29 |
| 38.51 | 34 |
| 51.21 | 26 |


No. 4
# MgTiAsO5
Simulated powder X-ray diffraction pattern, Cu Kα, 1.54184 Å. Input: a PBE-relaxed structure.
No peak broadening, texture or thermal motion is included.

Atomic structure:
```
MgTiAsO5
1.0
6.1262 0.0000 0.0000
0.0000 8.1084 0.0000
0.0000 0.0000 8.5897
Mg Ti As O
4 4 4 20
direct
0.1061 0.1521 0.3257
0.3939 0.8479 0.8257
0.6061 0.3479 0.6743
0.8939 0.6521 0.1743
0.2313 0.7514 0.4943
0.2687 0.2486 0.9943
0.7313 0.7486 0.5057
0.7687 0.2514 0.0057
0.0258 0.0995 0.6774
0.4742 0.9005 0.1774
0.5258 0.4005 0.3226
0.9742 0.5995 0.8226
0.0016 0.6473 0.3913
0.0190 0.4150 0.9259
0.1112 0.2390 0.5422
0.2113 0.6610 0.7292
0.2241 0.0683 0.8217
0.2759 0.9317 0.3217
0.2887 0.3390 0.2292
0.3888 0.7610 0.0422
0.4810 0.5850 0.4259
0.4984 0.3527 0.8913
0.5016 0.8527 0.6087
0.5190 0.0850 0.0741
0.6112 0.2610 0.4578
0.7113 0.8390 0.2708
0.7241 0.4317 0.1783
0.7759 0.5683 0.6783
0.7887 0.1610 0.7708
0.8888 0.7390 0.9578
0.9810 0.9150 0.5741
0.9984 0.1473 0.1087
```

Top 10 peaks for 15° ≤ 2θ ≤ 90°, by angle:
| 2theta | I_rel |
| --- | --- |
| 17.78 | 83 |
| 20.91 | 51 |
| 24.28 | 36 |
| 26.36 | 100 |
| 32.95 | 35 |
| 33.18 | 37 |
| 33.74 | 42 |
| 36.36 | 37 |
| 37.74 | 46 |
| 55.56 | 40 |


No. 5
# MgZn2As2O8
Simulated powder X-ray diffraction pattern, Cu Kα, 1.54184 Å. Input: a PBE-relaxed structure.
No peak broadening, texture or thermal motion is included.

Atomic structure:
```
MgZn2As2O8
1.0
5.3527 0.0000 0.0000
0.0000 8.5851 0.0000
-4.4827 0.0000 7.8385
Mg Zn As O
2 4 4 16
direct
0.0000 0.0000 0.0000
0.0000 0.5000 0.5000
0.0183 0.1391 0.6117
0.0183 0.3609 0.1117
0.9817 0.6391 0.8883
0.9817 0.8609 0.3883
0.3514 0.6934 0.3067
0.3514 0.8066 0.8067
0.6486 0.1934 0.1933
0.6486 0.3066 0.6933
0.1767 0.6283 0.7451
0.1767 0.8717 0.2451
0.2067 0.5672 0.1359
0.2067 0.9328 0.6359
0.2731 0.6370 0.4604
0.2731 0.8630 0.9604
0.2842 0.1965 0.1155
0.2842 0.3035 0.6155
0.7158 0.6965 0.3845
0.7158 0.8035 0.8845
0.7269 0.1370 0.0396
0.7269 0.3630 0.5396
0.7933 0.0672 0.3641
0.7933 0.4328 0.8641
0.8233 0.1283 0.7549
0.8233 0.3717 0.2549
```

Top 10 peaks for 15° ≤ 2θ ≤ 90°, by angle:
| 2theta | I_rel |
| --- | --- |
| 19.63 | 41 |
| 20.69 | 24 |
| 21.75 | 48 |
| 24.98 | 100 |
| 26.68 | 22 |
| 33.69 | 19 |
| 34.04 | 34 |
| 35.62 | 37 |
| 38.10 | 21 |
| 41.52 | 21 |


No. 6
# MgSiAs2
Simulated powder X-ray diffraction pattern, Cu Kα, 1.54184 Å. Input: a PBE-relaxed structure.
No peak broadening, texture or thermal motion is included.

Atomic structure:
```
MgSiAs2
1.0
-2.9756 2.9756 5.4450
2.9756 -2.9756 5.4450
2.9756 2.9756 -5.4450
Mg Si As
2 2 4
direct
0.0000 0.0000 0.0000
0.7500 0.2500 0.5000
0.2500 0.7500 0.5000
0.5000 0.5000 0.0000
0.1612 0.1250 0.5362
0.3750 0.8388 0.9638
0.5888 0.6250 0.4638
0.8750 0.4112 0.0362
```

Top 10 peaks for 15° ≤ 2θ ≤ 90°, by angle:
| 2theta | I_rel |
| --- | --- |
| 26.77 | 100 |
| 30.03 | 12 |
| 32.90 | 6 |
| 42.99 | 20 |
| 45.14 | 37 |
| 51.37 | 27 |
| 55.12 | 17 |
| 62.42 | 5 |
| 72.33 | 11 |
| 80.30 | 10 |


No. 7
# Mg3Zn3As4
Simulated powder X-ray diffraction pattern, Cu Kα, 1.54184 Å. Input: a PBE-relaxed structure.
No peak broadening, texture or thermal motion is included.

Atomic structure:
```
Mg3Zn3As4
1.0
7.5025 -2.1271 0.0000
7.5025 2.1271 0.0000
-3.3859 0.0000 6.4139
Mg Zn As
3 3 4
direct
0.0000 0.0000 0.0000
0.3519 0.3519 0.0230
0.5022 0.5022 0.5096
0.1835 0.1835 0.5174
0.6727 0.6727 0.0138
0.8733 0.8733 0.5389
0.0792 0.0792 0.7448
0.2969 0.2969 0.3221
0.5669 0.5669 0.2318
0.7937 0.7937 0.7805
```

Top 10 peaks for 15° ≤ 2θ ≤ 90°, by angle:
| 2theta | I_rel |
| --- | --- |
| 27.67 | 92 |
| 28.27 | 41 |
| 36.33 | 100 |
| 37.07 | 48 |
| 42.50 | 45 |
| 43.04 | 85 |
| 47.78 | 22 |
| 48.25 | 36 |
| 51.84 | 18 |
| 57.64 | 26 |


No. 8
# Mn3As2
Simulated powder X-ray diffraction pattern, Cu Kα, 1.54184 Å. Input: a PBE-relaxed structure.
No peak broadening, texture or thermal motion is included.

Atomic structure:
```
Mn3As2
1.0
6.4337 -1.7407 0.0000
6.4337 1.7407 0.0000
-5.7899 0.0000 6.4966
Mn As
6 4
direct
0.0000 0.0000 0.0000
0.1072 0.1072 0.4095
0.1957 0.1957 0.8262
0.5000 0.5000 0.5000
0.8043 0.8043 0.1738
0.8928 0.8928 0.5905
0.2505 0.2505 0.3208
0.4400 0.4400 0.1551
0.5600 0.5600 0.8449
0.7495 0.7495 0.6792
```

Top 10 peaks for 15° ≤ 2θ ≤ 90°, by angle:
| 2theta | I_rel |
| --- | --- |
| 33.33 | 22 |
| 34.37 | 60 |
| 38.19 | 28 |
| 40.48 | 97 |
| 42.74 | 53 |
| 43.47 | 35 |
| 44.63 | 33 |
| 46.06 | 42 |
| 47.28 | 100 |
| 52.58 | 50 |


No. 9
# Mn23As16
Simulated powder X-ray diffraction pattern, Cu Kα, 1.54184 Å. Input: a PBE-relaxed structure.
No peak broadening, texture or thermal motion is included.

Atomic structure:
```
Mn23As16
1.0
6.7190 0.0000 0.0000
-1.8071 6.7778 0.0000
-1.7267 -2.2758 12.5323
Mn As
23 16
direct
0.0000 0.0000 0.0000
0.9997 0.5002 0.0010
0.1321 0.9318 0.5910
0.1338 0.4337 0.5917
0.2596 0.3641 0.1848
0.2650 0.8648 0.1891
0.2682 0.6584 0.3593
0.2709 0.1591 0.3592
0.3522 0.5580 0.8754
0.3534 0.0577 0.8749
0.5515 0.5586 0.6747
0.5542 0.0611 0.6797
0.6053 0.9890 0.3446
0.6249 0.9333 0.1025
0.6263 0.4303 0.0958
0.6527 0.3755 0.8380
0.6533 0.8719 0.8372
0.6993 0.7877 0.4964
0.7002 0.3129 0.4947
0.9181 0.8097 0.3122
0.9204 0.3113 0.3122
0.9834 0.2048 0.8229
0.9844 0.7015 0.8244
0.0002 0.0488 0.1886
0.2565 0.3138 0.9953
0.2595 0.8147 0.9978
0.3045 0.2610 0.7261
0.3040 0.7580 0.7259
0.4197 0.4782 0.4835
0.4267 0.9800 0.4906
0.5368 0.6807 0.2297
0.5379 0.2053 0.2290
0.7264 0.1730 0.9669
0.7263 0.6754 0.9677
0.8308 0.3836 0.6880
0.8336 0.8810 0.6889
0.9549 0.1046 0.4567
0.9561 0.6038 0.4558
0.9980 0.5505 0.1892
```

Top 10 peaks for 15° ≤ 2θ ≤ 90°, by angle:
| 2theta | I_rel |
| --- | --- |
| 32.63 | 58 |
| 35.65 | 44 |
| 39.40 | 70 |
| 39.51 | 42 |
| 39.63 | 42 |
| 43.53 | 38 |
| 43.94 | 100 |
| 44.12 | 61 |
| 44.20 | 40 |
| 52.16 | 87 |


Please write out number 8 again, unchanged.
# Mn3As2
Simulated powder X-ray diffraction pattern, Cu Kα, 1.54184 Å. Input: a PBE-relaxed structure.
No peak broadening, texture or thermal motion is included.

Atomic structure:
```
Mn3As2
1.0
6.4337 -1.7407 0.0000
6.4337 1.7407 0.0000
-5.7899 0.0000 6.4966
Mn As
6 4
direct
0.0000 0.0000 0.0000
0.1072 0.1072 0.4095
0.1957 0.1957 0.8262
0.5000 0.5000 0.5000
0.8043 0.8043 0.1738
0.8928 0.8928 0.5905
0.2505 0.2505 0.3208
0.4400 0.4400 0.1551
0.5600 0.5600 0.8449
0.7495 0.7495 0.6792
```

Top 10 peaks for 15° ≤ 2θ ≤ 90°, by angle:
| 2theta | I_rel |
| --- | --- |
| 33.33 | 22 |
| 34.37 | 60 |
| 38.19 | 28 |
| 40.48 | 97 |
| 42.74 | 53 |
| 43.47 | 35 |
| 44.63 | 33 |
| 46.06 | 42 |
| 47.28 | 100 |
| 52.58 | 50 |